Structure and theoretical X-ray diffraction stick pattern of GaCu2Pd3 (a DFT-relaxed cell (GGA-PBE, Alexandria); Cu Kα, 1.54184 Å).
No peak broadening, texture or thermal motion is included.

Atomic structure:
a b c (Å): 6.6014 6.6014 6.4682
angles (deg): 90.00 90.00 143.26
Sites, in units of the cell vectors:
Ga: 0.1581 0.8419 0.0000
Ga: 0.8419 0.1581 0.0000
Cu: 0.1674 0.8326 0.5000
Cu: 0.5000 0.5000 0.0000
Cu: 0.5000 0.5000 0.5000
Cu: 0.8326 0.1674 0.5000
Pd: 0.0000 0.0000 0.2541
Pd: 0.0000 0.0000 0.7459
Pd: 0.3311 0.6689 0.2428
Pd: 0.3311 0.6689 0.7572
Pd: 0.6689 0.3311 0.2428
Pd: 0.6689 0.3311 0.7572

Top 6 peaks for 10° ≤ 2θ ≤ 90°, by angle:
2theta	Rel. int.
41.45	100
43.33	22
43.50	22
63.07	14
78.20	14
78.44	14